Calculated powder XRD pattern
Compound: Ac2YVO6
Radiation: Cu Kα, 1.54184 Å
Structure: a DFT-relaxed cell (GGA+U, Alexandria)
Peak positions follow from Bragg's law for the DFT cell and can differ from measured ones.

Principal peaks in the range 2θ from 10° to 90°, by intensity:
2θ 30.0, I = 100; 2θ 30.2, I = 98; 2θ 21.2, I = 82; 2θ 30.5, I = 48; 2θ 29.9, I = 43; 2θ 43.2, I = 42; 2θ 53.3, I = 33; 2θ 43.0, I = 27; 2θ 54.1, I = 23; 2θ 53.7, I = 22; 2θ 49.5, I = 21; 2θ 36.9, I = 20

```
Ac2YVO6
1.0
5.8688 0.0000 0.0000
0.0000 5.9753 0.0000
-5.7958 0.0000 8.4127
Ac Y V O
4 2 2 12
Direct
0.2384 0.0442 0.2493 Ac
0.2384 0.4558 0.7493 Ac
0.7616 0.5442 0.2507 Ac
0.7616 0.9558 0.7507 Ac
0.5000 0.0000 0.0000 Y
0.5000 0.5000 0.5000 Y
0.0000 0.0000 0.5000 V
0.0000 0.5000 0.0000 V
0.1431 0.2174 0.9497 O
0.1431 0.2826 0.4497 O
0.2332 0.6970 0.9516 O
0.2332 0.8030 0.4516 O
0.3328 0.0297 0.7401 O
0.3328 0.4703 0.2401 O
0.6672 0.5297 0.7599 O
0.6672 0.9703 0.2599 O
0.7668 0.1970 0.5484 O
0.7668 0.3030 0.0484 O
0.8569 0.7174 0.5503 O
0.8569 0.7826 0.0503 O
```